For AlCu6Si2, a DFT-relaxed cell (PBE, Alexandria) gives the theoretical X-ray diffraction stick pattern in this record (Cu Ka).

Atomic structure:
Cell: 6.238 5.791 8.572 Å, 90.00 128.62 90.00°
Atoms (fractional coordinates):
Al 0.000 0.000 0.000
Al 0.000 0.500 0.500
Cu 0.013 0.155 0.716
Cu 0.013 0.345 0.216
Cu 0.285 0.150 0.550
Cu 0.285 0.350 0.050
Cu 0.457 0.685 0.574
Cu 0.457 0.815 0.074
Cu 0.543 0.185 0.926
Cu 0.543 0.315 0.426
Cu 0.715 0.650 0.950
Cu 0.715 0.850 0.450
Cu 0.987 0.655 0.784
Cu 0.987 0.845 0.284
Si 0.275 0.659 0.228
Si 0.275 0.841 0.728
Si 0.725 0.159 0.272
Si 0.725 0.341 0.772

Largest 10 diffraction maxima, in order of rising 2θ, 2θ = 10–80°:
2θ = 28.88°, I = 442
2θ = 30.88°, I = 479
2θ = 33.72°, I = 569
2θ = 41.14°, I = 657
2θ = 42.59°, I = 557
2θ = 43.74°, I = 753
2θ = 44.14°, I = 575
2θ = 45.09°, I = 1000
2θ = 45.25°, I = 848
2θ = 47.08°, I = 976